For Eu2P3Pt4, the PBE geometry in the Materials Project gives the computed powder X-ray diffraction pattern in this record (Cu Kα (λ = 1.5418 Å)).

The 10 most intense peaks (2θ from 10° to 90°), sorted by position:
(hkl)  2θ (°)  I/Imax
0 0 6  27.8  24
1 0 5  31.6  71
1 1 2  31.7  100
1 1 4  35.7  82
1 0 7  39.2  47
2 0 0  43.4  74
2 1 5  54.7  31
2 1 7  59.9  27
1 1 12  66.3  25
3 1 2  72.3  26

Crystal structure
```
data_Eu2P3Pt4
_cell_length_a 4.1713
_cell_length_b 4.1713
_cell_length_c 19.2704
_cell_angle_alpha 90.00
_cell_angle_beta 90.00
_cell_angle_gamma 90.00
_space_group_name_H-M_alt 'I -4 m 2'
_space_group_IT_number 119
_space_group_name_Hall 'I -4 -2'
loop_
_atom_site_label
_atom_site_type_symbol
_atom_site_fract_x
_atom_site_fract_y
_atom_site_fract_z
Eu1 Eu 0.0000 0.0000 0.1292
P1 P 0.0000 0.0000 0.4269
P2 P 0.0000 0.5000 0.7500
Pt1 Pt 0.0000 0.0000 0.3049
Pt2 Pt 0.0000 0.5000 0.0001
```


For KEu2Cd2Sb3, the PBE geometry in the Materials Project gives the computed powder X-ray diffraction pattern in this record (Cu Kα (λ = 1.5418 Å)).

The 10 most intense peaks (2θ from 10° to 90°), sorted by position:
(hkl)  2θ (°)  I/Imax
2 1 2  25.5  30
4 0 0  28.2  59
3 1 1  28.5  76
1 1 4  29.4  100
2 1 4  31.9  56
0 0 6  33.0  24
3 1 4  35.7  64
0 2 0  36.8  67
3 1 5  39.5  44
4 2 0  47.1  29

Crystal structure
```
data_KEu2Cd2Sb3
_cell_length_a 12.6591
_cell_length_b 4.8790
_cell_length_c 16.2958
_cell_angle_alpha 90.00
_cell_angle_beta 90.00
_cell_angle_gamma 90.00
_space_group_name_H-M_alt 'P n m a'
_space_group_IT_number 62
_space_group_name_Hall '-P 2ac 2n'
loop_
_atom_site_label
_atom_site_type_symbol
_atom_site_fract_x
_atom_site_fract_y
_atom_site_fract_z
K1 K 0.0922 0.2500 0.0461
Eu1 Eu 0.1004 0.7500 0.4239
Eu2 Eu 0.1357 0.2500 0.7803
Cd1 Cd 0.1296 0.2500 0.2805
Cd2 Cd 0.1973 0.2500 0.5762
Sb1 Sb 0.0785 0.7500 0.6274
Sb2 Sb 0.1226 0.7500 0.1922
Sb3 Sb 0.2109 0.7500 0.9127
```


For YCo2B2, the PBE geometry in the Materials Project gives the computed powder X-ray diffraction pattern in this record (Cu Kα (λ = 1.5418 Å)).

The 10 most intense peaks (2θ from 10° to 90°), sorted by position:
(hkl)  2θ (°)  I/Imax
1 0 1  26.8  46
0 0 4  38.2  59
1 1 2  40.7  100
2 0 0  51.5  29
2 1 1  59.0  10
2 0 4  65.8  32
1 1 6  70.6  21
2 2 0  75.7  9
2 2 4  88.1  12
3 1 2  89.7  19

Crystal structure
```
data_YCo2B2
_cell_length_a 3.5518
_cell_length_b 3.5518
_cell_length_c 9.4409
_cell_angle_alpha 90.00
_cell_angle_beta 90.00
_cell_angle_gamma 90.00
_space_group_name_H-M_alt 'I 4/m m m'
_space_group_IT_number 139
_space_group_name_Hall '-I 4 2'
loop_
_atom_site_label
_atom_site_type_symbol
_atom_site_fract_x
_atom_site_fract_y
_atom_site_fract_z
Y1 Y 0.0000 0.0000 0.0000
Co1 Co 0.0000 0.5000 0.2500
B1 B 0.0000 0.0000 0.3477
```


For LiEuAsS3, the PBE geometry in the Materials Project gives the computed powder X-ray diffraction pattern in this record (Cu Kα (λ = 1.5418 Å)).

The 10 most intense peaks (2θ from 10° to 90°), sorted by position:
(hkl)  2θ (°)  I/Imax
0 2 0  13.5  70
1 1 0  17.4  66
1 2 -1  22.4  50
0 0 2  25.5  51
1 3 0  26.0  41
0 4 1  30.1  41
2 1 -1  32.4  100
0 3 2  32.8  52
1 3 -2  33.6  58
2 1 1  38.6  43

Crystal structure
```
data_LiEuAsS3
_cell_length_a 5.7110
_cell_length_b 13.1206
_cell_length_c 7.2152
_cell_angle_alpha 90.00
_cell_angle_beta 104.57
_cell_angle_gamma 90.00
_space_group_name_H-M_alt 'P 1 21/c 1'
_space_group_IT_number 14
_space_group_name_Hall '-P 2ybc'
loop_
_atom_site_label
_atom_site_type_symbol
_atom_site_fract_x
_atom_site_fract_y
_atom_site_fract_z
Li1 Li 0.2246 0.2082 0.4305
Eu1 Eu 0.1697 0.5798 0.7685
As1 As 0.3727 0.5975 0.3344
S1 S 0.2168 0.1277 0.1149
S2 S 0.2377 0.7158 0.1035
S3 S 0.3029 0.0453 0.6436
```